No. 1
The following is a theoretical X-ray powder pattern of Ce2I3. It was derived from a cell relaxed with GGA-PBE, using Cu Kα (λ = 1.5418 Å).

Most intense lines, 10 to 90 degrees two-theta, sorted by position:
13.65°, d = 6.488 Å, intensity 100
23.80°, d = 3.739 Å, intensity 57
30.35°, d = 2.945 Å, intensity 92
30.47°, d = 2.934 Å, intensity 98
31.27°, d = 2.860 Å, intensity 88
35.63°, d = 2.520 Å, intensity 55
36.14°, d = 2.485 Å, intensity 71
36.98°, d = 2.431 Å, intensity 58

Cell: 8.072 7.932 9.352 Å, 54.94 53.55 71.51°
Fractional coordinates of all 10 atoms:
Ce (0.076, 0.924, 0.169)
Ce (0.081, 0.419, 0.174)
Ce (0.419, 0.081, 0.326)
Ce (0.924, 0.076, 0.831)
I (0.227, 0.467, 0.405)
I (0.349, 0.845, 0.783)
I (0.467, 0.227, 0.901)
I (0.691, 0.691, 0.309)
I (0.845, 0.349, 0.023)
I (0.941, 0.941, 0.559)

No. 2
The following is a theoretical X-ray powder pattern of TlCd2InHg2. It was derived from a cell relaxed with GGA-PBE, using Cu Kα (λ = 1.5418 Å).

Most intense lines, 10 to 90 degrees two-theta, sorted by position:
23.49°, d = 3.786 Å, intensity 49
27.49°, d = 3.244 Å, intensity 49
31.02°, d = 2.883 Å, intensity 30
33.05°, d = 2.711 Å, intensity 100
37.52°, d = 2.397 Å, intensity 32
40.97°, d = 2.203 Å, intensity 84
53.59°, d = 1.710 Å, intensity 36
69.58°, d = 1.351 Å, intensity 53

Cell: 10.582 10.582 10.582 Å, 24.03 24.03 24.03°
Fractional coordinates of all 6 atoms:
Tl (0.000, 0.000, 0.000)
Cd (0.271, 0.271, 0.271)
Cd (0.729, 0.729, 0.729)
In (0.500, 0.500, 0.500)
Hg (0.114, 0.114, 0.114)
Hg (0.886, 0.886, 0.886)

No. 3
The following is a theoretical X-ray powder pattern of Hg2OsW. It was derived from a cell relaxed with GGA-PBE, using Cu Kα (λ = 1.5418 Å).

Most intense lines, 10 to 90 degrees two-theta, sorted by position:
10.32°, d = 8.569 Å, intensity 18
31.32°, d = 2.856 Å, intensity 22
35.07°, d = 2.559 Å, intensity 31
36.66°, d = 2.451 Å, intensity 100
38.29°, d = 2.351 Å, intensity 49
41.76°, d = 2.163 Å, intensity 19
42.83°, d = 2.111 Å, intensity 64
62.14°, d = 1.494 Å, intensity 21

Cell: 2.995 2.989 8.604 Å, 90.00 95.19 90.00°
Fractional coordinates of all 4 atoms:
Hg (0.000, 0.000, 0.000)
Hg (0.305, 0.500, 0.310)
Os (0.419, 0.500, 0.742)
W (0.876, 0.000, 0.570)

No. 4
The following is a theoretical X-ray powder pattern of Mn2AgPbCl8. It was derived from a cell relaxed with GGA-PBE, using Cu Kα (λ = 1.5418 Å).

Most intense lines, 10 to 90 degrees two-theta, sorted by position:
19.26°, d = 4.608 Å, intensity 100
21.25°, d = 4.182 Å, intensity 84
24.55°, d = 3.627 Å, intensity 28
24.67°, d = 3.609 Å, intensity 39
30.18°, d = 2.962 Å, intensity 33
30.30°, d = 2.950 Å, intensity 36
30.77°, d = 2.906 Å, intensity 29
43.29°, d = 2.090 Å, intensity 46

Cell: 6.185 6.327 8.431 Å, 84.38 84.18 83.94°
Fractional coordinates of all 12 atoms:
Mn (0.034, 0.029, 0.288)
Mn (0.966, 0.971, 0.712)
Ag (0.500, 0.500, 0.500)
Pb (0.500, 0.500, 0.000)
Cl (0.200, 0.159, 0.510)
Cl (0.206, 0.165, 0.046)
Cl (0.258, 0.691, 0.735)
Cl (0.266, 0.702, 0.271)
Cl (0.734, 0.298, 0.729)
Cl (0.742, 0.309, 0.265)
Cl (0.794, 0.835, 0.954)
Cl (0.800, 0.841, 0.490)